The following is a computed powder XRD pattern of La2PmPr2Dy2. It was derived from a crystal structure in Alexandria, relaxed with GGA-PBE, using Cu Kα, 1.54184 Å.

Unit cell a=11.573 b=5.182 c=8.230 alpha=90.00 beta=98.03 gamma=90.00
Space group C2/m (No. 12)
Asymmetric unit:
La  0.142  0.000  0.427 (multiplicity 4)
Pm  0.000  0.000  0.000 (multiplicity 2)
Pr  0.215  0.500  0.142 (multiplicity 4)
Dy  0.071  0.500  0.714 (multiplicity 4)

The 6 most intense peaks (10° ≤ 2θ ≤ 90°), in order of rising 2θ:
2θ 29.78, rel. 100; 2θ 29.88, rel. 99; 2θ 34.51, rel. 34; 2θ 34.61, rel. 67; 2θ 49.72, rel. 48; 2θ 59.05, rel. 43